CsCoCl3: simulated powder diffractogram (Cu Kα, 1.54184 Å), based on a GGA-PBE-relaxed structure.
Intensities are scaled so that the largest is 100.

Main lines, low angle first (10 to 90 degrees two-theta):
20.44 deg, d 4.344, rel. 55
24.25 deg, d 3.670, rel. 61
30.04 deg, d 2.975, rel. 15
31.92 deg, d 2.804, rel. 100
33.25 deg, d 2.695, rel. 21
40.49 deg, d 2.228, rel. 13
41.58 deg, d 2.172, rel. 36
42.67 deg, d 2.119, rel. 13
48.71 deg, d 1.869, rel. 25
49.68 deg, d 1.835, rel. 27
54.54 deg, d 1.683, rel. 20
60.27 deg, d 1.536, rel. 13

Structural model:
Unit cell a=7.3409 b=7.3409 c=5.9500 alpha=90.00 beta=90.00 gamma=120.00
Space group P6_3/mmc (No. 194)
Inequivalent atoms, fractional coordinates:
Cs (0.3333, 0.6667, 0.2500) [2 per cell]
Co (0.0000, 0.0000, 0.0000) [2 per cell]
Cl (0.1517, 0.3034, 0.7500) [6 per cell]